This entry pairs a crystal structure of Nd4TePb2 with its computed X-ray diffraction stick pattern. Radiation: Cu Kα X-rays. Structure: a structure optimized by DFT (GGA-PBE).

Top 10 peaks for 2θ = 5–70°, by angle:
index	Position (°2θ)	d (Å)	Rel. int.
1 1 2	22.64	3.927	9
3 1 0	29.36	3.042	100
2 1 3	34.90	2.571	66
4 0 2	42.01	2.151	17
3 2 3	44.16	2.051	13
4 2 2	46.24	1.963	14
3 1 4	48.24	1.886	21
1 1 6	59.21	1.560	29
2 0 6	60.91	1.521	11
5 1 4	62.58	1.484	14

Structural model:
Cell: 9.619 9.619 9.620 Å, 90.00 90.00 90.00°
Space group I-42d (No. 122)
Inequivalent atoms, fractional coordinates:
Nd1 0.072 0.182 0.303 x16
Te1 0.000 0.000 0.000 x4
Pb1 0.125 0.250 0.625 x8

---

This entry pairs a crystal structure of Nd2ThPb9 with its computed X-ray diffraction stick pattern. Radiation: Cu Kα X-rays. Structure: a structure optimized by DFT (GGA-PBE).

Top 9 peaks for 2θ = 5–70°, by angle:
index	Position (°2θ)	d (Å)	Rel. int.
0 0 1	5.97	14.808	1
1 1 3	31.47	2.843	100
0 0 6	36.40	2.468	17
2 0 0	36.55	2.459	34
2 0 6	52.54	1.742	24
2 2 0	52.64	1.739	12
1 1 9	62.45	1.487	15
3 1 3	62.64	1.483	29
2 2 6	65.69	1.421	13

Structural model:
Cell: 4.917 4.917 14.808 Å, 90.00 90.00 90.00°
Space group P4/mmm (No. 123)
Inequivalent atoms, fractional coordinates:
Nd1 0.000 0.000 0.171 x2
Th1 0.000 0.000 0.500 x1
Pb1 0.000 0.500 0.000 x2
Pb2 0.000 0.500 0.335 x4
Pb3 0.500 0.500 0.167 x2
Pb4 0.500 0.500 0.500 x1

---

This entry pairs a crystal structure of Nd6TlPb with its computed X-ray diffraction stick pattern. Radiation: Cu Kα X-rays. Structure: a structure optimized by DFT (GGA-PBE).

Top 10 peaks for 2θ = 5–70°, by angle:
index	Position (°2θ)	d (Å)	Rel. int.
1 0 0	17.75	4.998	2
1 1 0	25.20	3.534	2
1 1 2	30.99	2.886	100
2 0 0	35.94	2.499	51
2 1 0	40.35	2.235	1
2 1 2	44.40	2.040	1
2 2 0	51.73	1.767	36
3 0 0	55.12	1.666	1
3 1 2	61.54	1.507	43
2 2 4	64.59	1.443	12

Structural model:
Cell: 5.001 5.001 9.983 Å, 90.00 90.00 90.00°
Space group P4/mmm (No. 123)
Inequivalent atoms, fractional coordinates:
Nd1 0.000 0.000 0.000 x1
Nd2 0.000 0.000 0.500 x1
Nd3 0.000 0.500 0.250 x4
Tl1 0.500 0.500 0.000 x1
Pb1 0.500 0.500 0.500 x1

---

This entry pairs a crystal structure of Nd5Tl2Pb2 with its computed X-ray diffraction stick pattern. Radiation: Cu Kα X-rays. Structure: a structure optimized by DFT (GGA-PBE).

Top 10 peaks for 2θ = 5–70°, by angle:
index	Position (°2θ)	d (Å)	Rel. int.
2 2 1	25.89	3.441	38
3 1 2	28.80	3.100	100
0 2 2	29.89	2.990	57
4 2 0	30.34	2.946	42
4 0 2	30.50	2.931	38
4 2 1	32.19	2.780	75
1 3 1	33.82	2.650	60
1 1 3	34.12	2.628	56
5 1 3	43.87	2.064	41
7 3 3	61.15	1.516	38

Structural model:
Cell: 16.346 8.502 8.411 Å, 90.00 90.00 90.00°
Space group Cmce (No. 64)
Inequivalent atoms, fractional coordinates:
Nd1 0.000 0.000 0.000 x4
Nd2 0.140 0.176 0.329 x16
Tl1 0.000 0.127 0.627 x8
Pb1 0.207 0.000 0.000 x8

---

This entry pairs a crystal structure of Nd2Tl3Pb3 with its computed X-ray diffraction stick pattern. Radiation: Cu Kα X-rays. Structure: a structure optimized by DFT (GGA-PBE).

Top 10 peaks for 2θ = 5–70°, by angle:
index	Position (°2θ)	d (Å)	Rel. int.
1 1 2	31.75	2.818	100
0 2 0	36.28	2.476	18
0 0 4	36.81	2.442	17
2 0 0	37.39	2.405	16
0 2 4	52.64	1.739	12
2 2 0	53.08	1.725	12
1 3 2	62.44	1.487	15
1 1 6	63.15	1.472	14
3 1 2	63.94	1.456	14
2 2 4	66.34	1.409	12

Structural model:
Cell: 4.810 4.952 9.768 Å, 90.00 90.00 90.00°
Space group Pmmm (No. 47)
Inequivalent atoms, fractional coordinates:
Nd1 0.000 0.000 0.250 x2
Tl1 0.000 0.500 0.000 x1
Tl2 0.500 0.500 0.247 x2
Pb1 0.000 0.500 0.500 x1
Pb2 0.500 0.000 0.000 x1
Pb3 0.500 0.000 0.500 x1

---

This entry pairs a crystal structure of NdTmPb2 with its computed X-ray diffraction stick pattern. Radiation: Cu Kα X-rays. Structure: a structure optimized by DFT (GGA-PBE).

Top 10 peaks for 2θ = 5–70°, by angle:
index	Position (°2θ)	d (Å)	Rel. int.
2 0 0	28.75	3.105	42
0 2 1	28.86	3.094	98
2 0 -2	29.01	3.078	56
0 0 4	30.41	2.940	81
2 0 2	35.89	2.502	49
0 2 3	36.19	2.482	87
2 0 -4	36.53	2.460	39
2 2 -1	39.77	2.266	100
2 2 3	50.55	1.806	38
2 2 -5	51.19	1.784	40

Structural model:
Cell: 6.409 6.413 12.135 Å, 90.00 104.32 90.00°
Space group P2/c (No. 13)
Inequivalent atoms, fractional coordinates:
Nd1 0.188 0.127 0.132 x4
Tm1 0.320 0.372 0.874 x4
Pb1 0.170 0.374 0.605 x4
Pb2 0.330 0.132 0.405 x4